For Zn2Sn, a crystal structure in Alexandria, relaxed with PBE gives the simulated powder X-ray diffraction pattern in this record (CuKα).

Structure:
```
data_Zn2Sn
_chemical_formula_sum 'Zn2 Sn1'
_space_group_name_H-M_alt 'P -1'
_space_group_IT_number 2
_space_group_name_Hall '-P 1'
_cell_length_a 3.073
_cell_length_b 4.393
_cell_length_c 5.321
_cell_angle_alpha 66.12
_cell_angle_beta 89.01
_cell_angle_gamma 70.61
loop_
_atom_site_label
_atom_site_type_symbol
_atom_site_fract_x
_atom_site_fract_y
_atom_site_fract_z
Zn1 Zn 0.181 0.154 0.133
Sn1 Sn 0.000 0.500 0.500
```

Main lines, sorted by position (15° ≤ 2θ ≤ 90°):
hkl 1 0 0, 2θ 31.1, d = 2.872 Å, I = 70
hkl 1 1 0, 2θ 31.8, d = 2.814 Å, I = 76
hkl 0 1 2, 2θ 34.7, d = 2.586 Å, I = 97
hkl 0 1 -1, 2θ 36.0, d = 2.494 Å, I = 100
hkl 0 2 1, 2θ 43.7, d = 2.070 Å, I = 54
hkl -1 1 1, 2θ 43.9, d = 2.064 Å, I = 45
hkl 1 2 1, 2θ 44.6, d = 2.032 Å, I = 40
hkl 1 1 2, 2θ 44.8, d = 2.024 Å, I = 44
hkl 1 0 -2, 2θ 45.7, d = 1.984 Å, I = 44
hkl 2 0 1, 2θ 71.0, d = 1.327 Å, I = 38


For CaGa6Te10, a crystal structure in Alexandria, relaxed with PBE gives the simulated powder X-ray diffraction pattern in this record (CuKα).

Structure:
```
data_CaGa6Te10
_chemical_formula_sum 'Ca4 Ga24 Te40'
_space_group_name_H-M_alt 'C 1 2 1'
_space_group_IT_number 5
_space_group_name_Hall 'C 2y'
_cell_length_a 15.001
_cell_length_b 14.716
_cell_length_c 10.420
_cell_angle_alpha 90.00
_cell_angle_beta 90.35
_cell_angle_gamma 90.00
loop_
_atom_site_label
_atom_site_type_symbol
_atom_site_fract_x
_atom_site_fract_y
_atom_site_fract_z
Ca1 Ca 0.129 0.000 0.248
Ga1 Ga 0.043 0.336 0.164
Ga2 Ga 0.048 0.826 0.667
Ga3 Ga 0.143 0.144 0.925
Ga4 Ga 0.205 0.762 0.377
Ga5 Ga 0.220 0.474 0.339
Ga6 Ga 0.246 0.712 0.752
Te1 Te 0.000 0.046 0.000
Te2 Te 0.000 0.954 0.500
Te3 Te 0.062 0.503 0.240
Te4 Te 0.089 0.788 0.186
Te5 Te 0.090 0.212 0.335
Te6 Te 0.122 0.675 0.569
Te7 Te 0.125 0.323 0.931
Te8 Te 0.175 0.126 0.671
Te9 Te 0.182 0.875 0.826
Te10 Te 0.209 0.417 0.582
Te11 Te 0.220 0.589 0.933
```

Main lines, sorted by position (15° ≤ 2θ ≤ 90°):
hkl 4 0 1, 2θ 25.3, d = 3.527 Å, I = 32
hkl 3 1 -2, 2θ 25.4, d = 3.513 Å, I = 47
hkl 3 1 2, 2θ 25.5, d = 3.494 Å, I = 49
hkl 0 4 1, 2θ 25.7, d = 3.473 Å, I = 100
hkl 3 3 1, 2θ 26.9, d = 3.318 Å, I = 28
hkl 1 1 3, 2θ 27.0, d = 3.299 Å, I = 40
hkl 2 0 -3, 2θ 28.3, d = 3.154 Å, I = 56
hkl 2 4 1, 2θ 28.4, d = 3.144 Å, I = 36
hkl 1 7 -1, 2θ 44.4, d = 2.042 Å, I = 35
hkl 1 7 2, 2θ 47.0, d = 1.934 Å, I = 39


For Ti5InO2, a crystal structure in Alexandria, relaxed with PBE gives the simulated powder X-ray diffraction pattern in this record (CuKα).

Structure:
```
data_Ti5InO2
_chemical_formula_sum 'Ti10 In2 O4'
_space_group_name_H-M_alt 'I 4/m m m'
_space_group_IT_number 139
_space_group_name_Hall '-I 4 2'
_cell_length_a 4.026
_cell_length_b 4.026
_cell_length_c 15.077
_cell_angle_alpha 90.00
_cell_angle_beta 90.00
_cell_angle_gamma 90.00
loop_
_atom_site_label
_atom_site_type_symbol
_atom_site_fract_x
_atom_site_fract_y
_atom_site_fract_z
Ti1 Ti 0.000 0.000 0.000
Ti2 Ti 0.000 0.500 0.159
In1 In 0.000 0.000 0.500
O1 O 0.000 0.000 0.135
```

Main lines, sorted by position (15° ≤ 2θ ≤ 90°):
hkl 1 0 3, 2θ 28.4, d = 3.142 Å, I = 26
hkl 1 1 2, 2θ 33.7, d = 2.663 Å, I = 100
hkl 0 0 6, 2θ 35.7, d = 2.513 Å, I = 48
hkl 1 1 4, 2θ 39.7, d = 2.272 Å, I = 72
hkl 2 0 0, 2θ 45.0, d = 2.013 Å, I = 55
hkl 2 0 6, 2θ 58.8, d = 1.571 Å, I = 55
hkl 1 1 10, 2θ 70.7, d = 1.332 Å, I = 17
hkl 0 0 12, 2θ 75.8, d = 1.256 Å, I = 20
hkl 2 2 6, 2θ 77.0, d = 1.239 Å, I = 17
hkl 3 1 4, 2θ 79.5, d = 1.206 Å, I = 17


For Na2BiPbO4, a crystal structure in Alexandria, relaxed with PBE gives the simulated powder X-ray diffraction pattern in this record (CuKα).

Structure:
```
data_Na2BiPbO4
_chemical_formula_sum 'Na4 Bi2 Pb2 O8'
_space_group_name_H-M_alt 'C 1 m 1'
_space_group_IT_number 8
_space_group_name_Hall 'C -2y'
_cell_length_a 11.404
_cell_length_b 4.754
_cell_length_c 4.938
_cell_angle_alpha 90.00
_cell_angle_beta 114.98
_cell_angle_gamma 90.00
loop_
_atom_site_label
_atom_site_type_symbol
_atom_site_fract_x
_atom_site_fract_y
_atom_site_fract_z
Na1 Na 0.000 0.000 0.000
Na2 Na 0.247 0.500 0.250
Bi1 Bi 0.499 0.000 0.506
Pb1 Pb 0.254 0.000 0.756
O1 O 0.022 0.000 0.522
O2 O 0.248 0.500 0.757
O3 O 0.275 0.000 0.284
O4 O 0.490 0.000 0.941
```

Main lines, sorted by position (15° ≤ 2θ ≤ 90°):
hkl 0 0 1, 2θ 19.8, d = 4.476 Å, I = 55
hkl 2 0 -1, 2θ 20.0, d = 4.435 Å, I = 46
hkl 1 1 0, 2θ 20.6, d = 4.319 Å, I = 100
hkl 1 1 1, 2θ 31.2, d = 2.866 Å, I = 81
hkl 3 1 -1, 2θ 31.5, d = 2.844 Å, I = 95
hkl 4 0 0, 2θ 34.7, d = 2.584 Å, I = 54
hkl 2 0 -2, 2θ 36.4, d = 2.469 Å, I = 48
hkl 0 2 0, 2θ 37.9, d = 2.377 Å, I = 43
hkl 4 2 0, 2θ 52.3, d = 1.750 Å, I = 33
hkl 2 2 -2, 2θ 53.5, d = 1.712 Å, I = 31


For Np2HgI8, a crystal structure in Alexandria, relaxed with PBE gives the simulated powder X-ray diffraction pattern in this record (CuKα).

Structure:
```
data_Np2HgI8
_chemical_formula_sum 'Np4 Hg2 I16'
_space_group_name_H-M_alt 'C 1 2/m 1'
_space_group_IT_number 12
_space_group_name_Hall '-C 2y'
_cell_length_a 14.581
_cell_length_b 8.961
_cell_length_c 9.499
_cell_angle_alpha 90.00
_cell_angle_beta 105.11
_cell_angle_gamma 90.00
loop_
_atom_site_label
_atom_site_type_symbol
_atom_site_fract_x
_atom_site_fract_y
_atom_site_fract_z
Np1 Np 0.250 0.000 0.001
Hg1 Hg 0.000 0.500 0.500
I1 I 0.108 0.249 0.868
I2 I 0.180 0.500 0.259
I3 I 0.181 0.000 0.261
```

Main lines, sorted by position (15° ≤ 2θ ≤ 90°):
hkl 2 0 1, 2θ 17.8, d = 4.990 Å, I = 21
hkl 0 2 0, 2θ 19.8, d = 4.480 Å, I = 21
hkl 2 2 0, 2θ 23.5, d = 3.780 Å, I = 31
hkl 2 2 1, 2θ 26.7, d = 3.334 Å, I = 100
hkl 2 0 -3, 2θ 28.6, d = 3.116 Å, I = 44
hkl 4 2 0, 2θ 32.3, d = 2.767 Å, I = 31
hkl 4 2 -2, 2θ 34.2, d = 2.619 Å, I = 25
hkl 0 4 0, 2θ 40.3, d = 2.240 Å, I = 23
hkl 0 2 4, 2θ 44.4, d = 2.041 Å, I = 37
hkl 2 4 -3, 2θ 50.2, d = 1.819 Å, I = 22


For Pr3Sn3Pt2, a crystal structure in Alexandria, relaxed with PBE gives the simulated powder X-ray diffraction pattern in this record (CuKα).

Structure:
```
data_Pr3Sn3Pt2
_chemical_formula_sum 'Pr12 Sn12 Pt8'
_space_group_name_H-M_alt 'P n m a'
_space_group_IT_number 62
_space_group_name_Hall '-P 2ac 2n'
_cell_length_a 8.576
_cell_length_b 15.780
_cell_length_c 6.097
_cell_angle_alpha 90.00
_cell_angle_beta 90.00
_cell_angle_gamma 90.00
loop_
_atom_site_label
_atom_site_type_symbol
_atom_site_fract_x
_atom_site_fract_y
_atom_site_fract_z
Pr1 Pr 0.034 0.111 0.120
Pr2 Pr 0.174 0.250 0.634
Sn1 Sn 0.180 0.750 0.623
Sn2 Sn 0.191 0.036 0.609
Pt1 Pt 0.091 0.611 0.373
```

Main lines, sorted by position (15° ≤ 2θ ≤ 90°):
hkl 2 4 0, 2θ 30.8, d = 2.903 Å, I = 94
hkl 1 1 2, 2θ 31.7, d = 2.826 Å, I = 70
hkl 0 6 0, 2θ 34.1, d = 2.630 Å, I = 25
hkl 2 4 1, 2θ 34.2, d = 2.621 Å, I = 91
hkl 3 0 1, 2θ 34.7, d = 2.588 Å, I = 49
hkl 1 3 2, 2θ 35.6, d = 2.521 Å, I = 93
hkl 1 4 2, 2θ 38.8, d = 2.322 Å, I = 100
hkl 4 0 1, 2θ 44.8, d = 2.023 Å, I = 37
hkl 1 7 2, 2θ 51.5, d = 1.773 Å, I = 30
hkl 0 0 4, 2θ 60.8, d = 1.524 Å, I = 43


For Ce2Ti3O8, a crystal structure in Alexandria, relaxed with PBE gives the simulated powder X-ray diffraction pattern in this record (CuKα).

Structure:
```
data_Ce2Ti3O8
_chemical_formula_sum 'Ce2 Ti3 O8'
_space_group_name_H-M_alt 'P 4/m m m'
_space_group_IT_number 123
_space_group_name_Hall '-P 4 2'
_cell_length_a 3.923
_cell_length_b 3.923
_cell_length_c 12.246
_cell_angle_alpha 90.00
_cell_angle_beta 90.00
_cell_angle_gamma 90.00
loop_
_atom_site_label
_atom_site_type_symbol
_atom_site_fract_x
_atom_site_fract_y
_atom_site_fract_z
Ce1 Ce 0.000 0.000 0.175
Ti1 Ti 0.500 0.500 0.000
Ti2 Ti 0.500 0.500 0.312
O1 O 0.000 0.500 0.000
O2 O 0.000 0.500 0.312
O3 O 0.500 0.500 0.160
```

Main lines, sorted by position (15° ≤ 2θ ≤ 90°):
hkl 1 0 2, 2θ 27.0, d = 3.303 Å, I = 17
hkl 1 0 3, 2θ 31.6, d = 2.828 Å, I = 100
hkl 1 1 0, 2θ 32.3, d = 2.774 Å, I = 42
hkl 1 1 2, 2θ 35.5, d = 2.527 Å, I = 17
hkl 1 1 3, 2θ 39.3, d = 2.294 Å, I = 27
hkl 0 0 6, 2θ 44.4, d = 2.041 Å, I = 16
hkl 2 0 0, 2θ 46.3, d = 1.961 Å, I = 35
hkl 1 1 6, 2θ 55.9, d = 1.644 Å, I = 15
hkl 2 1 3, 2θ 57.2, d = 1.612 Å, I = 36
hkl 2 0 6, 2θ 66.1, d = 1.414 Å, I = 17


For Er5Ge5Ir2, a crystal structure in Alexandria, relaxed with PBE gives the simulated powder X-ray diffraction pattern in this record (CuKα).

Structure:
```
data_Er5Ge5Ir2
_chemical_formula_sum 'Er10 Ge10 Ir4'
_space_group_name_H-M_alt 'C 1 2/m 1'
_space_group_IT_number 12
_space_group_name_Hall '-C 2y'
_cell_length_a 15.041
_cell_length_b 4.213
_cell_length_c 10.754
_cell_angle_alpha 90.00
_cell_angle_beta 131.03
_cell_angle_gamma 90.00
loop_
_atom_site_label
_atom_site_type_symbol
_atom_site_fract_x
_atom_site_fract_y
_atom_site_fract_z
Er1 Er 0.000 0.000 0.000
Er2 Er 0.119 0.000 0.420
Er3 Er 0.193 0.000 0.824
Ge1 Ge 0.000 0.500 0.500
Ge2 Ge 0.059 0.500 0.838
Ge3 Ge 0.246 0.500 0.700
Ir1 Ir 0.145 0.500 0.255
```

Main lines, sorted by position (15° ≤ 2θ ≤ 90°):
hkl 3 1 -3, 2θ 32.9, d = 2.725 Å, I = 100
hkl 2 0 2, 2θ 34.6, d = 2.591 Å, I = 44
hkl 1 1 2, 2θ 35.2, d = 2.553 Å, I = 54
hkl 1 1 -3, 2θ 35.7, d = 2.515 Å, I = 32
hkl 5 1 -3, 2θ 37.4, d = 2.402 Å, I = 32
hkl 6 0 -4, 2θ 38.2, d = 2.354 Å, I = 31
hkl 5 1 -1, 2θ 39.7, d = 2.268 Å, I = 75
hkl 0 2 0, 2θ 42.9, d = 2.107 Å, I = 47
hkl 2 2 2, 2θ 56.3, d = 1.635 Å, I = 22
hkl 6 2 -4, 2θ 58.8, d = 1.570 Å, I = 17